Calculated X-ray powder pattern of LiMn2Co2O8 for Cu Kα, 1.54184 Å, from a cell relaxed with GGA+U.

Structure:
```
13
Lattice="4.8805 -2.9241 0.0000 4.8805 2.9241 0.0000 -3.1434 0.0000 4.6931" Properties=species:S:1:pos:R:3 pbc="T T T"
Li 0.0000 0.0000 0.0000
Mn 0.8686 1.4621 2.3466
Mn 0.8686 -1.4621 2.3466
Co 4.8805 0.0000 0.0000
Co 3.3088 0.0000 2.3466
O 1.6361 0.0000 1.3486
O 2.4204 1.2972 3.4818
O 0.2564 0.0000 3.4887
O 4.1972 1.2972 1.2113
O 2.4204 -1.2972 3.4818
O 6.3611 0.0000 1.2044
O 4.1972 -1.2972 1.2113
O 4.9815 0.0000 3.3445
```

Peak list (10 most intense, 2θ from 10° to 90°, in order of falling intensity)
| two_theta | d (Å) | I (rel.) |
| --- | --- | --- |
| 18.71 | 4.744 | 1000 |
| 44.64 | 2.030 | 996 |
| 19.39 | 4.577 | 473 |
| 18.91 | 4.693 | 382 |
| 64.29 | 1.449 | 182 |
| 65.69 | 1.421 | 165 |
| 36.46 | 2.464 | 156 |
| 37.30 | 2.411 | 155 |
| 36.62 | 2.454 | 122 |
| 36.79 | 2.443 | 121 |

---

Calculated X-ray powder pattern of Li7Mn2Co3O12 for Cu Kα, 1.54184 Å, from a cell relaxed with GGA+U.

Structure:
```
24
Lattice="4.9677 0.0000 0.0000 0.0000 2.8392 0.0000 -0.1232 0.0000 14.3818" Properties=species:S:1:pos:R:3 pbc="T T T"
Li 0.0000 0.0000 0.0000
Li -0.0125 0.0000 7.3461
Li 0.6702 1.4196 9.6084
Li 1.7372 0.0000 5.0413
Li 2.5028 1.4196 0.0382
Li 3.1963 0.0000 9.7150
Li 4.2573 1.4196 5.1530
Mn 0.8469 1.4196 2.5056
Mn 2.4667 1.4196 7.3511
Co 1.5464 0.0000 12.1141
Co 3.3334 0.0000 2.4953
Co 4.0320 1.4196 12.1077
O -0.0080 0.0000 3.5624
O 0.7133 1.4196 13.1572
O 0.9831 1.4196 6.1928
O 1.6956 0.0000 1.4223
O 1.6706 0.0000 8.4125
O 2.3745 1.4196 11.1141
O 2.5071 1.4196 3.5128
O 3.2023 0.0000 13.1539
O 3.2655 0.0000 6.2653
O 3.9465 1.4196 8.4788
O 4.1649 1.4196 1.4522
O 4.8685 0.0000 11.0999
```

Peak list (10 most intense, 2θ from 10° to 90°, in order of falling intensity)
| two_theta | d (Å) | I (rel.) |
| --- | --- | --- |
| 18.51 | 4.794 | 1000 |
| 44.49 | 2.037 | 778 |
| 36.98 | 2.431 | 258 |
| 65.23 | 1.430 | 137 |
| 64.26 | 1.450 | 135 |
| 36.77 | 2.444 | 117 |
| 58.35 | 1.582 | 93 |
| 12.31 | 7.191 | 82 |
| 63.63 | 1.462 | 69 |
| 48.75 | 1.868 | 69 |

---

Calculated X-ray powder pattern of Li5MnCo2O8 for Cu Kα, 1.54184 Å, from a cell relaxed with GGA+U.

Structure:
```
16
Lattice="9.5876 -1.4180 0.0000 9.5876 1.4180 0.0000 -0.3623 0.0000 4.9661" Properties=species:S:1:pos:R:3 pbc="T T T"
Li 0.0000 0.0000 0.0000
Li 2.2363 0.0000 1.8931
Li 7.2812 0.0000 0.5289
Li 11.5317 0.0000 4.4372
Li 16.5766 0.0000 3.0730
Mn 9.4064 0.0000 2.4831
Co 4.5250 0.0000 3.7267
Co 14.2879 0.0000 1.2394
O 0.8374 0.0000 3.3444
O 3.7597 0.0000 0.3296
O 5.6307 0.0000 2.1398
O 8.1415 0.0000 3.9057
O 10.6713 0.0000 1.0604
O 13.1821 0.0000 2.8263
O 15.0531 0.0000 4.6365
O 17.9755 0.0000 1.6217
```

Peak list (10 most intense, 2θ from 10° to 90°, in order of falling intensity)
| two_theta | d (Å) | I (rel.) |
| --- | --- | --- |
| 18.56 | 4.781 | 1000 |
| 44.47 | 2.037 | 565 |
| 44.60 | 2.032 | 277 |
| 36.97 | 2.431 | 235 |
| 65.12 | 1.432 | 149 |
| 64.48 | 1.445 | 143 |
| 36.73 | 2.447 | 111 |
| 17.86 | 4.966 | 104 |
| 58.37 | 1.581 | 101 |
| 65.86 | 1.418 | 83 |

---

Calculated X-ray powder pattern of Li7Mn2Co3O12 for Cu Kα, 1.54184 Å, from a cell relaxed with GGA+U.

Structure:
```
24
Lattice="2.9206 0.0000 0.0000 -1.2894 7.5710 0.0000 -1.3206 -0.7844 9.6876" Properties=species:S:1:pos:R:3 pbc="T T T"
Li 0.0000 0.0000 0.0000
Li -1.2926 2.4801 7.1483
Li 0.0143 1.5784 2.2626
Li 0.0531 -0.0894 7.2469
Li 0.1758 6.8210 2.2217
Li 0.2052 5.0441 7.2277
Li 1.6257 4.2813 2.3875
Mn 0.1442 3.3512 4.7570
Mn 0.1447 1.6687 9.6008
Co -1.3362 5.9799 4.7590
Co -1.2355 4.3361 9.5638
Co 1.6093 0.7300 4.7711
O -1.3199 0.9612 8.5236
O -1.3156 4.0997 5.8287
O 0.0852 -0.0191 3.5622
O 0.0207 3.3608 0.9058
O -1.2320 5.7093 8.4880
O 0.1569 1.7392 5.8334
O 0.1333 4.9653 3.6947
O 1.4742 1.0021 1.0455
O 0.0842 3.3565 8.5259
O 0.1842 6.7038 5.9886
O 1.6028 2.6173 3.6880
O 1.6859 5.7638 1.0300
```

Peak list (10 most intense, 2θ from 10° to 90°, in order of falling intensity)
| two_theta | d (Å) | I (rel.) |
| --- | --- | --- |
| 18.32 | 4.844 | 1000 |
| 42.96 | 2.105 | 302 |
| 44.17 | 2.051 | 271 |
| 43.80 | 2.067 | 270 |
| 62.87 | 1.478 | 152 |
| 35.62 | 2.521 | 149 |
| 36.49 | 2.462 | 123 |
| 36.16 | 2.484 | 121 |
| 63.76 | 1.460 | 78 |
| 63.16 | 1.472 | 74 |

---

Calculated X-ray powder pattern of Li2Mn2CoO8 for Cu Kα, 1.54184 Å, from a cell relaxed with GGA+U.

Structure:
```
13
Lattice="4.9658 -2.8921 0.0000 4.9658 2.8921 0.0000 -3.5472 0.0000 4.8765" Properties=species:S:1:pos:R:3 pbc="T T T"
Li -0.0138 0.0000 1.8366
Li 6.3981 0.0000 3.0400
Mn 2.4829 1.4461 0.0000
Mn 2.4829 -1.4461 0.0000
Co 4.9658 0.0000 0.0000
O 1.7379 0.0000 0.9607
O -0.2348 0.0000 3.8379
O 4.1131 1.3182 0.9691
O 2.2712 1.3182 3.9074
O 4.1131 -1.3182 0.9691
O 2.2712 -1.3182 3.9074
O 6.6191 0.0000 1.0387
O 4.6464 0.0000 3.9158
```

Peak list (10 most intense, 2θ from 10° to 90°, in order of falling intensity)
| two_theta | d (Å) | I (rel.) |
| --- | --- | --- |
| 18.19 | 4.877 | 1000 |
| 43.36 | 2.087 | 333 |
| 36.33 | 2.473 | 202 |
| 18.91 | 4.694 | 176 |
| 37.04 | 2.427 | 165 |
| 45.16 | 2.008 | 158 |
| 21.29 | 4.174 | 130 |
| 56.73 | 1.623 | 126 |
| 64.97 | 1.435 | 99 |
| 63.80 | 1.459 | 89 |

---

Calculated X-ray powder pattern of Li3MnCoO5 for Cu Kα, 1.54184 Å, from a cell relaxed with GGA+U.

Structure:
```
20
Lattice="5.0885 0.0000 0.0000 -0.8741 5.0568 0.0000 -2.4371 -2.1589 6.9038" Properties=species:S:1:pos:R:3 pbc="T T T"
Li 0.0000 0.0000 0.0000
Li -1.6556 1.4489 3.4519
Li 0.0042 -0.8329 2.7744
Li -0.8078 3.3146 5.5103
Li 2.5852 -0.4167 1.3935
Li 1.7731 3.7308 4.1294
Mn 0.8631 1.8511 2.0789
Mn 0.9142 1.0468 4.8249
Co -1.6125 0.5975 6.1392
Co 3.3899 2.3003 0.7646
O -0.7184 0.8271 1.6962
O 0.0687 3.3068 1.0483
O -0.7219 -0.0683 4.6058
O 1.6817 1.2223 0.4403
O 0.1550 2.4788 3.7627
O 1.6223 0.4190 3.1411
O 0.0957 1.6756 6.4635
O 2.4993 2.9661 2.2980
O 1.7086 -0.4089 5.8555
O 2.4958 2.0708 5.2076
```

Peak list (10 most intense, 2θ from 10° to 90°, in order of falling intensity)
| two_theta | d (Å) | I (rel.) |
| --- | --- | --- |
| 18.38 | 4.826 | 1000 |
| 43.38 | 2.086 | 319 |
| 43.50 | 2.081 | 303 |
| 44.26 | 2.046 | 281 |
| 63.05 | 1.474 | 159 |
| 35.84 | 2.505 | 135 |
| 35.95 | 2.498 | 132 |
| 12.82 | 6.904 | 120 |
| 36.55 | 2.458 | 118 |
| 19.05 | 4.658 | 86 |

---

Calculated X-ray powder pattern of Li4MnCo2O7 for Cu Kα, 1.54184 Å, from a cell relaxed with GGA+U.

Structure:
```
28
Lattice="4.9906 0.0000 0.0000 -1.1472 5.1422 0.0000 -2.0314 -1.5167 9.8941" Properties=species:S:1:pos:R:3 pbc="T T T"
Li 0.0000 0.0000 0.0000
Li -1.0157 -0.7583 4.9470
Li -0.1922 1.0373 2.8623
Li -0.3794 2.0402 5.6412
Li -0.6001 3.0978 8.4612
Li 2.4121 0.5277 1.4329
Li 2.1914 1.5854 4.2529
Li 2.0042 2.5882 7.0318
Mn 0.6266 2.8431 0.7342
Mn 1.1854 0.7824 9.1599
Co -1.1933 0.2503 7.7353
Co 0.4216 3.9351 3.6031
Co 1.3904 -0.3096 6.2910
Co 3.0053 3.3753 2.1588
O -2.2249 1.8962 8.9276
O -1.0645 2.7869 3.7450
O -0.4463 4.4523 1.9211
O -1.2246 3.8708 6.6839
O -0.3954 -0.3155 9.4149
O 0.6849 0.3105 4.6726
O 0.3327 1.3718 7.4951
O 1.4793 2.2537 2.3990
O 1.1271 3.3150 5.2215
O 2.2074 3.9411 0.4792
O 3.0366 -0.2452 3.2102
O 2.2583 -0.8267 7.9730
O 2.8765 0.8387 6.1491
O 4.0369 1.7294 0.9664
```

Peak list (10 most intense, 2θ from 10° to 90°, in order of falling intensity)
| two_theta | d (Å) | I (rel.) |
| --- | --- | --- |
| 18.38 | 4.828 | 1000 |
| 40.79 | 2.212 | 361 |
| 44.48 | 2.037 | 268 |
| 45.06 | 2.012 | 252 |
| 34.00 | 2.637 | 215 |
| 36.93 | 2.434 | 146 |
| 36.56 | 2.458 | 119 |
| 62.14 | 1.494 | 85 |
| 61.71 | 1.503 | 83 |
| 62.56 | 1.485 | 81 |

---

Calculated X-ray powder pattern of Li7Mn2Co3O12 for Cu Kα, 1.54184 Å, from a cell relaxed with GGA+U.

Structure:
```
24
Lattice="5.7765 0.0000 0.0000 -2.8806 5.1680 0.0000 -1.5038 -2.4557 7.1704" Properties=species:S:1:pos:R:3 pbc="T T T"
Li 0.0000 0.0000 0.0000
Li -2.8699 3.5196 2.2927
Li -2.8655 1.9150 4.6515
Li 1.4667 0.9112 2.1952
Li -1.4458 2.7377 7.0933
Li 0.0345 1.9055 4.6697
Li 4.3569 0.9050 2.1717
Mn -1.4097 -0.6744 4.6512
Mn 1.4713 -0.6569 4.6539
Co -1.3753 2.6891 0.0100
Co 0.0431 3.5277 2.2794
Co 0.0302 0.1700 7.1615
O 0.0411 1.7528 1.0650
O -1.3380 4.2265 1.0612
O -1.3712 0.8560 5.8752
O 0.0325 -1.4628 5.6966
O 0.0287 0.0963 3.6172
O -1.3250 2.9688 3.5089
O 1.3744 4.2429 1.1170
O 2.8895 1.7764 0.9910
O 1.4648 0.9090 5.8566
O 1.3913 2.9508 3.5261
O 2.9238 0.1440 3.6235
O 2.9118 -1.3799 5.7806
```

Peak list (10 most intense, 2θ from 10° to 90°, in order of falling intensity)
| two_theta | d (Å) | I (rel.) |
| --- | --- | --- |
| 18.35 | 4.834 | 1000 |
| 42.77 | 2.114 | 293 |
| 43.92 | 2.061 | 277 |
| 44.26 | 2.046 | 270 |
| 35.53 | 2.527 | 148 |
| 63.67 | 1.462 | 142 |
| 36.21 | 2.481 | 127 |
| 36.47 | 2.463 | 122 |
| 47.56 | 1.912 | 86 |
| 18.64 | 4.760 | 79 |